Entry 1:
Diffraction record for TbCuSi2Au. The powder diffractogram is simulated, not measured: it uses a crystal structure in Alexandria, relaxed with PBE and Cu Kα X-rays.
Lines closer than 0.1° are merged.

Peak list (10 most intense, 2θ from 10° to 90°, by angle)
2θ/deg, intensity, (hkl)
23.3, 44, 1 0 1
34.2, 31, 1 0 3
35.2, 19, 0 0 4
35.5, 100, 1 1 2
43.9, 34, 2 0 0
49.8, 12, 1 0 5
56.8, 15, 2 1 3
57.5, 18, 2 0 4
63.3, 16, 1 1 6
75.3, 22, 3 1 2

Atomic structure:
Cell: 4.1210 4.1210 10.2100 Å, 90.00 90.00 90.00°
Space group I-4m2 (No. 119)
Unique sites:
Tb (0.0000, 0.0000, 0.0000) (multiplicity 2)
Cu (0.0000, 0.5000, 0.7500) (multiplicity 2)
Si (0.0000, 0.0000, 0.3862) (multiplicity 4)
Au (0.0000, 0.5000, 0.2500) (multiplicity 2)

=====

Entry 2:
Diffraction record for Zr4GaCo. The powder diffractogram is simulated, not measured: it uses a crystal structure in Alexandria, relaxed with PBE and Cu Kα X-rays.
Lines closer than 0.1° are merged.

Peak list (10 most intense, 2θ from 10° to 90°, by angle)
2θ/deg, intensity, (hkl)
32.9, 10, 0 0 2
34.7, 100, 2 1 1
38.3, 27, 1 1 2
38.7, 10, 2 2 0
43.2, 32, 2 0 2
43.5, 35, 3 1 0
59.9, 20, 2 1 3
60.5, 15, 4 1 1
66.5, 11, 4 0 2
69.9, 18, 3 3 2

Atomic structure:
Cell: 6.5730 6.5730 5.4447 Å, 90.00 90.00 90.00°
Space group P4/mcc (No. 124)
Unique sites:
Zr (0.1512, 0.3256, 0.0000) (multiplicity 8)
Ga (0.5000, 0.5000, 0.2500) (multiplicity 2)
Co (0.0000, 0.0000, 0.2500) (multiplicity 2)